Cr9P8O32: calculated X-ray diffraction stick pattern (Cu Kα, 1.54184 Å), based on a DFT-relaxed cell (GGA+U, the Materials Project).
Intensities are scaled so that the largest is 100.

Most intense lines, 10° ≤ 2θ ≤ 90°, sorted by position:
d [Å]	2θ (°)	I_rel
5.515	16.07	100
4.096	21.70	45
3.565	24.98	42
3.333	26.74	32
2.896	30.88	34
2.676	33.48	33

Atomic structure:
Cell lengths 8.6520, 8.8270, 9.1800 Å; angles 103.25, 110.02, 100.13 degrees
Atoms (fractional coordinates):
1 Cr 0.0000 0.0000 0.0000
2 Cr 0.0000 0.5000 0.5000
3 Cr 0.1942 0.2022 0.4427
4 Cr 0.2041 0.3284 0.9677
5 Cr 0.3775 0.7096 0.9371
6 Cr 0.5000 0.0000 0.5000
7 Cr 0.6225 0.2904 0.0629
8 Cr 0.7959 0.6716 0.0323
9 Cr 0.8058 0.7978 0.5573
10 P 0.0263 0.3353 0.2213
11 P 0.1143 0.8374 0.4031
12 P 0.3744 0.0639 0.1609
13 P 0.4644 0.3814 0.7972
14 P 0.5356 0.6186 0.2028
15 P 0.6256 0.9361 0.8391
16 P 0.8857 0.1626 0.5969
17 P 0.9737 0.6647 0.7787
18 O 0.0001 0.1895 0.7769
19 O 0.9999 0.8105 0.2231
20 O 0.0058 0.7252 0.4702
21 O 0.0149 0.1525 0.2105
22 O 0.0569 0.3789 0.0828
23 O 0.1335 0.6191 0.7604
24 O 0.1527 0.0165 0.5056
25 O 0.1684 0.4263 0.3996
26 O 0.2338 0.1323 0.0556
27 O 0.2896 0.8077 0.4283
28 O 0.3270 0.8795 0.0818
29 O 0.3410 0.5670 0.0833
30 O 0.3598 0.0967 0.3317
31 O 0.3872 0.2794 0.8908
32 O 0.4009 0.5299 0.7864
33 O 0.4226 0.2746 0.6256
34 O 0.4491 0.8506 0.8249
35 O 0.5509 0.1494 0.1751
36 O 0.5774 0.7254 0.3744
37 O 0.5991 0.4701 0.2136
38 O 0.6128 0.7206 0.1092
39 O 0.6402 0.9033 0.6683
40 O 0.6590 0.4330 0.9167
41 O 0.6730 0.1205 0.9182
42 O 0.7104 0.1923 0.5717
43 O 0.7662 0.8677 0.9444
44 O 0.8316 0.5737 0.6004
45 O 0.8473 0.9835 0.4944
46 O 0.8665 0.3809 0.2396
47 O 0.9431 0.6211 0.9172
48 O 0.9851 0.8475 0.7895
49 O 0.9942 0.2748 0.5298